(1)
For ZrCd4Pd15, a DFT-relaxed cell (PBE, Alexandria) gives the theoretical X-ray diffraction stick pattern in this record (λ = 1.5418 Å (Cu Kα)).
Lines closer than 0.1° are merged.

Crystal structure
```
ZrCd4Pd15
1.0
4.0351 0.0000 0.0000
0.0000 4.0351 0.0000
0.0000 0.0000 20.1353
Zr Cd Pd
1 4 15
Cartesian
0.0000 0.0000 0.0000
0.0000 0.0000 4.0472
0.0000 0.0000 8.0533
0.0000 0.0000 12.0821
0.0000 0.0000 16.0881
0.0000 2.0176 1.9793
0.0000 2.0176 6.0528
0.0000 2.0176 10.0677
0.0000 2.0176 14.0826
0.0000 2.0176 18.1561
2.0176 0.0000 1.9793
2.0176 0.0000 6.0528
2.0176 0.0000 10.0677
2.0176 0.0000 14.0826
2.0176 0.0000 18.1561
2.0176 2.0176 0.0000
2.0176 2.0176 4.0130
2.0176 2.0176 8.0722
2.0176 2.0176 12.0631
2.0176 2.0176 16.1224
```

Main lines, by angle (5° ≤ 2θ ≤ 70°):
38.7 deg, 2.328 Å, intensity 1000
45.0 deg, 2.016 Å, intensity 485
65.5 deg, 1.426 Å, intensity 306


(2)
For BeP4, a DFT-relaxed cell (PBE, Alexandria) gives the theoretical X-ray diffraction stick pattern in this record (λ = 1.5418 Å (Cu Kα)).
Lines closer than 0.1° are merged.

Crystal structure
```
BeP4
1.0
5.2656 0.0000 0.0000
0.0000 5.2656 0.0000
0.0000 0.0000 5.2656
Be P
2 8
Cartesian
0.0000 0.0000 0.0000
2.6328 2.6328 2.6328
1.3164 1.3164 1.3164
1.3164 1.3164 3.9492
1.3164 3.9492 1.3164
1.3164 3.9492 3.9492
3.9492 1.3164 1.3164
3.9492 1.3164 3.9492
3.9492 3.9492 1.3164
3.9492 3.9492 3.9492
```

Main lines, by angle (5° ≤ 2θ ≤ 70°):
23.9 deg, 3.723 Å, intensity 18
34.1 deg, 2.633 Å, intensity 1000
42.0 deg, 2.150 Å, intensity 6
48.9 deg, 1.862 Å, intensity 793
61.0 deg, 1.520 Å, intensity 219


(3)
For Sr3Sn3Bi2Pd, a DFT-relaxed cell (PBE, Alexandria) gives the theoretical X-ray diffraction stick pattern in this record (λ = 1.5418 Å (Cu Kα)).
Lines closer than 0.1° are merged.

Crystal structure
```
Sr3Sn3Bi2Pd
1.0
8.2954 0.0000 0.0000
-4.1477 7.1841 0.0000
0.0000 0.0000 4.6362
Sr Sn Bi Pd
3 3 2 1
Cartesian
-2.5302 4.3824 0.0000
1.6176 2.8017 0.0000
5.0603 0.0000 0.0000
-0.9148 1.5845 2.3181
1.8296 0.0000 2.3181
3.2329 5.5996 2.3181
0.0000 4.7894 2.3181
4.1477 2.3947 2.3181
0.0000 0.0000 0.0000
```

Main lines, by angle (5° ≤ 2θ ≤ 70°):
21.4 deg, 4.148 Å, intensity 403
28.9 deg, 3.091 Å, intensity 1000
31.5 deg, 2.839 Å, intensity 834
33.0 deg, 2.715 Å, intensity 527
37.6 deg, 2.395 Å, intensity 422
38.4 deg, 2.343 Å, intensity 798
38.8 deg, 2.318 Å, intensity 359
51.9 deg, 1.763 Å, intensity 301
59.5 deg, 1.553 Å, intensity 284
62.5 deg, 1.485 Å, intensity 284


(4)
For Zr3Os, a DFT-relaxed cell (PBE, Alexandria) gives the theoretical X-ray diffraction stick pattern in this record (λ = 1.5418 Å (Cu Kα)).
Lines closer than 0.1° are merged.

Crystal structure
```
Zr3Os
1.0
10.9539 0.0000 0.0000
0.0000 10.9539 0.0000
0.0000 0.0000 5.5557
Zr Os
24 8
Cartesian
0.4366 0.4366 1.3889
0.4366 5.0403 4.1668
1.1386 8.2154 0.0000
1.6873 1.6873 4.1668
1.6873 3.7896 1.3889
2.7385 6.6156 2.7779
2.7385 9.8153 2.7779
3.7896 1.6873 1.3889
3.7896 3.7896 4.1668
4.3383 8.2154 0.0000
5.0403 0.4366 4.1668
5.0403 5.0403 1.3889
5.9136 5.9136 4.1668
5.9136 10.5172 1.3889
6.6156 2.7385 0.0000
7.1643 7.1643 1.3889
7.1643 9.2666 4.1668
8.2154 1.1386 2.7779
8.2154 4.3383 2.7779
9.2666 7.1643 4.1668
9.2666 9.2666 1.3889
9.8153 2.7385 0.0000
10.5172 5.9136 1.3889
10.5172 10.5172 4.1668
0.4480 8.2154 2.7779
2.7385 5.9249 0.0000
2.7385 10.5059 0.0000
5.0290 8.2154 2.7779
5.9249 2.7385 2.7779
8.2154 0.4480 0.0000
8.2154 5.0290 0.0000
10.5059 2.7385 2.7779
```

Main lines, by angle (5° ≤ 2θ ≤ 70°):
22.8 deg, 3.900 Å, intensity 757
33.6 deg, 2.666 Å, intensity 608
34.3 deg, 2.615 Å, intensity 624
34.7 deg, 2.582 Å, intensity 705
36.7 deg, 2.449 Å, intensity 412
37.5 deg, 2.397 Å, intensity 402
39.9 deg, 2.257 Å, intensity 1000
40.2 deg, 2.241 Å, intensity 666
42.1 deg, 2.148 Å, intensity 426
69.5 deg, 1.353 Å, intensity 325


(5)
For Pm3YHo, a DFT-relaxed cell (PBE, Alexandria) gives the theoretical X-ray diffraction stick pattern in this record (λ = 1.5418 Å (Cu Kα)).
Lines closer than 0.1° are merged.

Crystal structure
```
Pm3YHo
1.0
3.6663 0.0000 0.0000
-1.8309 11.1271 0.0000
-0.0135 -4.7830 16.4896
Pm Y Ho
12 4 4
Cartesian
-0.0080 -1.3588 5.8646
-0.0121 -3.7217 14.1310
-0.0094 1.6520 10.8704
-0.0059 4.0756 2.6049
-0.0152 4.6577 15.8265
-0.0082 7.0674 7.5755
1.8302 -0.7232 8.9141
1.8372 1.6864 0.6631
1.8279 2.2685 13.8847
1.8313 4.6921 5.6192
1.8341 10.0659 2.3586
1.8300 7.7029 10.6250
-0.0048 1.9690 7.2952
-0.0027 4.9685 12.2090
1.8247 1.3757 4.2807
1.8268 4.3751 9.1944
-0.0096 -0.4136 15.5447
-0.0001 7.3564 3.9336
1.8221 -1.0122 12.5561
1.8316 6.7577 0.9449
```

Main lines, by angle (5° ≤ 2θ ≤ 70°):
28.1 deg, 3.171 Å, intensity 237
30.9 deg, 2.897 Å, intensity 248
32.2 deg, 2.782 Å, intensity 1000
42.3 deg, 2.139 Å, intensity 159
49.8 deg, 1.832 Å, intensity 131
49.9 deg, 1.829 Å, intensity 65
55.7 deg, 1.649 Å, intensity 208
59.7 deg, 1.549 Å, intensity 76
59.8 deg, 1.547 Å, intensity 150
60.5 deg, 1.530 Å, intensity 108


(6)
For Tb11In6Si4, a DFT-relaxed cell (PBE, Alexandria) gives the theoretical X-ray diffraction stick pattern in this record (λ = 1.5418 Å (Cu Kα)).
Lines closer than 0.1° are merged.

Crystal structure
```
Tb11In6Si4
1.0
-5.7694 5.7694 8.1221
5.7694 -5.7694 8.1221
5.7694 5.7694 -8.1221
Tb In Si
22 12 8
Cartesian
5.7694 2.8819 -3.0069
4.0134 0.0000 1.6340
7.5255 0.0000 1.6340
0.0000 0.0000 2.7307
5.7694 -1.7560 6.4881
2.8819 5.7694 -3.0069
2.8876 0.0000 5.1152
3.8463 3.8463 0.0000
1.9231 -1.9231 8.1221
5.7694 2.8819 3.0069
0.0000 4.0134 1.6340
5.7694 1.7560 6.4881
0.0000 2.8876 5.1152
-1.9231 1.9231 8.1221
1.9231 1.9231 8.1221
2.8819 5.7694 3.0069
2.8876 0.0000 11.1291
0.0000 7.5255 1.6340
0.0000 0.0000 13.5136
-1.7560 5.7694 6.4881
1.7560 5.7694 6.4881
0.0000 2.8876 11.1291
2.3812 2.3812 -2.7741
3.3882 -3.3882 5.3481
1.4846 1.4846 0.0000
4.2848 -4.2848 8.1221
2.3812 2.3812 2.7741
3.3882 -3.3882 10.8962
-3.3882 3.3882 5.3481
3.3882 3.3882 5.3481
-4.2848 4.2848 8.1221
4.2848 4.2848 8.1221
-3.3882 3.3882 10.8962
3.3882 3.3882 10.8962
5.7694 1.7711 0.0000
5.7694 0.0000 4.0611
0.0000 0.0000 6.1729
1.7711 5.7694 0.0000
3.9984 0.0000 8.1221
0.0000 0.0000 10.0714
0.0000 5.7694 4.0611
0.0000 3.9984 8.1221
```

Main lines, by angle (5° ≤ 2θ ≤ 70°):
28.4 deg, 3.138 Å, intensity 192
32.5 deg, 2.756 Å, intensity 869
32.6 deg, 2.749 Å, intensity 395
33.0 deg, 2.718 Å, intensity 1000
34.9 deg, 2.570 Å, intensity 142
36.2 deg, 2.482 Å, intensity 272
42.6 deg, 2.123 Å, intensity 155
53.6 deg, 1.710 Å, intensity 162
56.5 deg, 1.629 Å, intensity 168
65.5 deg, 1.425 Å, intensity 233


(7)
For AsPRhAu2, a DFT-relaxed cell (PBE, Alexandria) gives the theoretical X-ray diffraction stick pattern in this record (λ = 1.5418 Å (Cu Kα)).
Lines closer than 0.1° are merged.

Crystal structure
```
AsPRhAu2
1.0
10.5416 0.0000 0.0000
0.0000 3.1212 0.0000
-2.2814 0.0000 5.4729
As P Rh Au
2 2 2 4
Cartesian
0.0000 0.0000 0.0000
5.2708 1.5606 0.0000
0.4049 0.0000 3.3654
5.6757 1.5606 3.3654
-0.4956 1.5606 1.9233
4.7751 0.0000 1.9233
2.5423 0.0000 0.2959
2.3964 1.5606 2.8071
7.8131 1.5606 0.2959
7.6672 0.0000 2.8071
```

Main lines, by angle (5° ≤ 2θ ≤ 70°):
18.2 deg, 4.865 Å, intensity 278
32.6 deg, 2.751 Å, intensity 1000
32.7 deg, 2.736 Å, intensity 401
34.1 deg, 2.630 Å, intensity 575
39.0 deg, 2.308 Å, intensity 247
40.1 deg, 2.249 Å, intensity 354
42.2 deg, 2.142 Å, intensity 337
43.8 deg, 2.069 Å, intensity 233
47.6 deg, 1.909 Å, intensity 415
54.8 deg, 1.677 Å, intensity 237


(8)
For Nd8Ga3Co, a DFT-relaxed cell (PBE, Alexandria) gives the theoretical X-ray diffraction stick pattern in this record (λ = 1.5418 Å (Cu Kα)).
Lines closer than 0.1° are merged.

Crystal structure
```
Nd8Ga3Co
1.0
10.4450 0.0000 0.0000
-5.2225 9.0456 0.0000
0.0000 0.0000 7.0669
Nd Ga Co
16 6 2
Cartesian
0.0000 0.0000 0.6733
0.0000 0.0000 4.2068
-2.0095 4.8702 0.8104
0.0000 3.0881 5.7411
-2.5481 7.5016 5.7411
0.0000 6.0304 3.5335
2.6744 1.5441 2.2076
2.0095 4.8702 0.8104
0.0000 8.3508 0.8104
5.2225 0.6948 4.3439
3.2130 4.1754 4.3439
2.5481 7.5016 5.7411
5.2225 3.0152 0.0000
7.7706 1.5441 2.2076
5.2225 5.9575 2.2076
7.2320 4.1754 4.3439
0.0000 2.9711 2.5506
-2.6495 7.5601 2.5506
2.5730 1.4855 6.0841
2.6495 7.5601 2.5506
7.8720 1.4855 6.0841
5.2225 6.0746 6.0841
0.0000 6.0304 6.2085
5.2225 3.0152 2.6750
```

Main lines, by angle (5° ≤ 2θ ≤ 70°):
23.4 deg, 3.809 Å, intensity 139
29.0 deg, 3.078 Å, intensity 495
30.5 deg, 2.927 Å, intensity 228
32.1 deg, 2.784 Å, intensity 1000
32.3 deg, 2.773 Å, intensity 199
34.3 deg, 2.611 Å, intensity 945
47.8 deg, 1.904 Å, intensity 207
53.1 deg, 1.723 Å, intensity 120
59.4 deg, 1.557 Å, intensity 156
63.6 deg, 1.463 Å, intensity 129


(9)
For PrEr3Tl3, a DFT-relaxed cell (PBE, Alexandria) gives the theoretical X-ray diffraction stick pattern in this record (λ = 1.5418 Å (Cu Kα)).
Lines closer than 0.1° are merged.

Crystal structure
```
PrEr3Tl3
1.0
9.4579 0.0000 0.0000
-4.7289 8.1908 0.0000
0.0000 0.0000 5.2327
Pr Er Tl
2 6 6
Cartesian
0.0000 5.4605 1.3082
4.7289 2.7303 3.9245
-1.0851 1.8797 1.3082
5.8141 6.3111 3.9245
-2.5585 8.1907 1.3082
1.0853 1.8796 3.9245
7.2875 0.0001 3.9245
3.6437 6.3112 1.3082
-1.4387 3.6595 3.9245
-0.8404 7.6070 3.9245
2.4499 3.0757 1.3082
2.2791 5.1151 3.9245
5.5693 0.5838 1.3082
6.1676 4.5312 1.3082
```

Main lines, by angle (5° ≤ 2θ ≤ 70°):
27.7 deg, 3.225 Å, intensity 68
28.8 deg, 3.096 Å, intensity 224
33.6 deg, 2.664 Å, intensity 1000
34.3 deg, 2.616 Å, intensity 241
45.4 deg, 1.998 Å, intensity 132
51.1 deg, 1.787 Å, intensity 136
60.7 deg, 1.526 Å, intensity 48
61.0 deg, 1.520 Å, intensity 184
62.6 deg, 1.484 Å, intensity 76
63.0 deg, 1.476 Å, intensity 146


(10)
For ZnSn2Sb3, a DFT-relaxed cell (PBE, Alexandria) gives the theoretical X-ray diffraction stick pattern in this record (λ = 1.5418 Å (Cu Kα)).
Lines closer than 0.1° are merged.

Crystal structure
```
ZnSn2Sb3
1.0
3.9684 -6.8684 0.0000
3.9684 6.8684 0.0000
-2.6764 0.0000 7.7327
Zn Sn Sb
2 4 6
Cartesian
2.6301 5.7544 3.8663
3.9684 -5.7544 0.0000
1.2421 3.5007 7.6616
2.4792 1.1372 3.8540
1.1410 -1.1372 7.7203
2.5803 -3.5007 3.7952
-0.1842 0.9780 2.6694
-1.5224 -0.9780 6.5358
3.8052 3.5550 2.8561
2.7129 1.1434 6.7986
4.0511 -1.1434 2.9323
2.4669 -3.5550 6.7225
```

Main lines, by angle (5° ≤ 2θ ≤ 70°):
23.0 deg, 3.866 Å, intensity 334
23.7 deg, 3.753 Å, intensity 1000
38.4 deg, 2.343 Å, intensity 363
38.5 deg, 2.337 Å, intensity 170
39.3 deg, 2.290 Å, intensity 495
45.3 deg, 2.001 Å, intensity 120
46.1 deg, 1.969 Å, intensity 187
46.4 deg, 1.955 Å, intensity 153
56.3 deg, 1.635 Å, intensity 110
62.5 deg, 1.487 Å, intensity 119